Diffraction record for NaP. The PXRD pattern is simulated, not measured: it uses a structure optimized by DFT (GGA-PBE) and copper Kα.
Neutral-atom scattering factors, no anomalous dispersion.

Top 10 peaks for 2θ from 15° to 90°, by angle:
(hkl), Position (°2θ), Rel. int.
0 1 1, 17.0, 681
0 0 2, 17.5, 319
0 2 1, 30.8, 761
1 1 3, 34.2, 1000
2 1 0, 34.9, 481
2 1 1, 36.1, 437
1 2 2, 38.1, 389
0 1 4, 38.4, 280
2 0 3, 41.6, 332
2 2 1, 44.7, 318

Structure:
Unit cell a=5.6696 b=6.0574 c=10.1550 alpha=90.00 beta=90.00 gamma=90.00
Positions (direct):
Na1 0.1155 0.1141 0.4180
Na2 0.1548 0.3358 0.7845
Na3 0.3452 0.6642 0.2845
Na4 0.3845 0.8859 0.9180
Na5 0.6155 0.3859 0.5820
Na6 0.6548 0.1642 0.2155
Na7 0.8452 0.8358 0.7155
Na8 0.8845 0.6141 0.0820
P1 0.1128 0.5577 0.5345
P2 0.1526 0.1791 0.1157
P3 0.3474 0.8209 0.6157
P4 0.3872 0.4423 0.0345
P5 0.6128 0.9423 0.4655
P6 0.6526 0.3209 0.8843
P7 0.8474 0.6791 0.3843
P8 0.8872 0.0577 0.9655